1.
This entry pairs a crystal structure of YB3H15N with its computed X-ray powder pattern. Radiation: Cu Kα. Structure: a cell relaxed with PBE.

The 10 most intense peaks (10 to 90 degrees two-theta), in order of rising 2θ:
2theta, I (rel.)
14.26, 36
17.48, 100
22.42, 14
22.83, 11
26.85, 16
32.22, 15
35.39, 11
36.62, 16
39.75, 15
43.72, 12

Crystal structure
Cell: 5.558 5.558 12.420 Å, 90.00 90.00 88.97°
Fractional coordinates of all 40 atoms:
Y 0.219 0.781 0.500
Y 0.781 0.219 0.000
B 0.164 0.285 0.479
B 0.285 0.164 0.979
B 0.293 0.707 0.697
B 0.707 0.293 0.197
B 0.715 0.836 0.479
B 0.836 0.715 0.979
H 0.009 0.573 0.977
H 0.081 0.668 0.673
H 0.124 0.668 0.264
H 0.150 0.155 0.399
H 0.155 0.150 0.899
H 0.155 0.175 0.565
H 0.175 0.155 0.065
H 0.332 0.668 0.791
H 0.332 0.876 0.264
H 0.332 0.919 0.673
H 0.359 0.387 0.475
H 0.387 0.359 0.975
H 0.407 0.593 0.286
H 0.420 0.580 0.637
H 0.427 0.991 0.977
H 0.573 0.009 0.477
H 0.580 0.420 0.137
H 0.593 0.407 0.786
H 0.613 0.641 0.475
H 0.641 0.613 0.975
H 0.668 0.081 0.173
H 0.668 0.124 0.764
H 0.668 0.332 0.291
H 0.825 0.845 0.565
H 0.845 0.825 0.065
H 0.845 0.850 0.399
H 0.850 0.845 0.899
H 0.876 0.332 0.764
H 0.919 0.332 0.173
H 0.991 0.427 0.477
N 0.278 0.722 0.302
N 0.722 0.278 0.802



2.
This entry pairs a crystal structure of YCu3O6 with its computed X-ray powder pattern. Radiation: Cu Kα. Structure: a cell relaxed with PBE.

The 10 most intense peaks (10 to 90 degrees two-theta), in order of rising 2θ:
2theta, I (rel.)
12.55, 23
12.70, 20
15.10, 16
30.50, 100
31.55, 20
31.74, 20
33.22, 21
33.40, 21
34.54, 14
53.83, 20

Crystal structure
Cell: 8.918 8.918 11.738 Å, 90.70 90.70 22.90°
Fractional coordinates of all 20 atoms:
Y 0.000 0.000 0.000
Y 0.683 0.683 0.502
Cu 0.121 0.121 0.252
Cu 0.234 0.234 0.758
Cu 0.452 0.452 0.258
Cu 0.560 0.560 0.750
Cu 0.789 0.789 0.241
Cu 0.892 0.892 0.743
O 0.111 0.111 0.108
O 0.133 0.133 0.397
O 0.217 0.217 0.611
O 0.235 0.235 0.902
O 0.451 0.451 0.402
O 0.468 0.468 0.111
O 0.548 0.548 0.896
O 0.573 0.573 0.608
O 0.777 0.777 0.384
O 0.786 0.786 0.098
O 0.893 0.893 0.600
O 0.902 0.902 0.888



3.
This entry pairs a crystal structure of EuZnIn with its computed X-ray powder pattern. Radiation: Cu Kα. Structure: a cell relaxed with PBE.

The 10 most intense peaks (10 to 90 degrees two-theta), in order of rising 2θ:
2theta, I (rel.)
30.74, 28
31.44, 100
31.58, 48
31.77, 35
36.36, 15
37.19, 46
37.49, 72
49.70, 26
63.52, 17
67.22, 21

Crystal structure
Cell: 6.142 6.142 7.744 Å, 128.63 128.63 46.35°
Fractional coordinates of all 6 atoms:
Eu 0.037 0.037 0.291
Eu 0.963 0.963 0.709
Zn 0.340 0.340 0.293
Zn 0.660 0.660 0.707
In 0.329 0.329 0.881
In 0.671 0.671 0.119



4.
This entry pairs a crystal structure of Sm2NiSn4 with its computed X-ray powder pattern. Radiation: Cu Kα. Structure: a cell relaxed with PBE.

The 10 most intense peaks (10 to 90 degrees two-theta), in order of rising 2θ:
2theta, I (rel.)
31.22, 15
32.19, 100
32.80, 9
37.21, 15
40.10, 41
51.68, 15
55.86, 9
56.18, 8
58.00, 14
67.90, 24

Crystal structure
Cell: 4.500 8.883 8.883 Å, 29.31 90.00 90.00°
Fractional coordinates of all 7 atoms:
Sm 0.000 0.000 0.000
Sm 0.500 0.206 0.206
Ni 0.000 0.793 0.793
Sn 0.000 0.362 0.362
Sn 0.000 0.650 0.650
Sn 0.500 0.537 0.537
Sn 0.500 0.862 0.862



5.
This entry pairs a crystal structure of Ni3W3C with its computed X-ray powder pattern. Radiation: Cu Kα. Structure: a cell relaxed with PBE.

The 10 most intense peaks (10 to 90 degrees two-theta), in order of rising 2θ:
2theta, I (rel.)
22.68, 20
32.30, 38
35.29, 23
39.83, 56
42.36, 100
46.33, 66
64.57, 22
69.38, 15
72.32, 39
87.55, 15

Crystal structure
Cell: 7.840 7.840 7.840 Å, 60.00 60.00 60.00°
Fractional coordinates of all 28 atoms:
Ni 0.000 0.000 0.000
Ni 0.000 0.000 0.500
Ni 0.000 0.500 0.000
Ni 0.130 0.790 0.790
Ni 0.210 0.210 0.210
Ni 0.210 0.210 0.870
Ni 0.210 0.870 0.210
Ni 0.500 0.000 0.000
Ni 0.790 0.130 0.790
Ni 0.790 0.790 0.130
Ni 0.790 0.790 0.790
Ni 0.870 0.210 0.210
W 0.168 0.168 0.582
W 0.168 0.582 0.168
W 0.168 0.582 0.582
W 0.418 0.418 0.832
W 0.418 0.832 0.418
W 0.418 0.832 0.832
W 0.582 0.168 0.168
W 0.582 0.168 0.582
W 0.582 0.582 0.168
W 0.832 0.418 0.418
W 0.832 0.418 0.832
W 0.832 0.832 0.418
C 0.000 0.500 0.500
C 0.500 0.000 0.500
C 0.500 0.500 0.000
C 0.500 0.500 0.500



6.
This entry pairs a crystal structure of NdV2Fe5Co5 with its computed X-ray powder pattern. Radiation: Cu Kα. Structure: a cell relaxed with PBE.

The 10 most intense peaks (10 to 90 degrees two-theta), in order of rising 2θ:
2theta, I (rel.)
30.34, 61
37.02, 28
37.26, 29
42.42, 52
42.80, 43
42.96, 66
43.08, 78
44.23, 100
49.42, 41
72.78, 28

Crystal structure
Cell: 6.441 6.441 6.441 Å, 137.44 98.00 97.14°
Fractional coordinates of all 13 atoms:
Nd 0.000 0.000 0.000
V 0.362 0.362 0.000
V 0.642 0.642 0.000
Fe 0.000 0.002 0.499
Fe 0.000 0.501 0.998
Fe 0.233 0.733 0.500
Fe 0.503 0.002 0.002
Fe 0.503 0.501 0.501
Co 0.230 0.502 0.728
Co 0.360 0.001 0.360
Co 0.641 0.001 0.640
Co 0.772 0.272 0.500
Co 0.775 0.502 0.272



What did the second record say?
This entry pairs a crystal structure of YCu3O6 with its computed X-ray powder pattern. Radiation: Cu Kα. Structure: a cell relaxed with PBE.

The 10 most intense peaks (10 to 90 degrees two-theta), in order of rising 2θ:
2theta, I (rel.)
12.55, 23
12.70, 20
15.10, 16
30.50, 100
31.55, 20
31.74, 20
33.22, 21
33.40, 21
34.54, 14
53.83, 20

Crystal structure
Cell: 8.918 8.918 11.738 Å, 90.70 90.70 22.90°
Fractional coordinates of all 20 atoms:
Y 0.000 0.000 0.000
Y 0.683 0.683 0.502
Cu 0.121 0.121 0.252
Cu 0.234 0.234 0.758
Cu 0.452 0.452 0.258
Cu 0.560 0.560 0.750
Cu 0.789 0.789 0.241
Cu 0.892 0.892 0.743
O 0.111 0.111 0.108
O 0.133 0.133 0.397
O 0.217 0.217 0.611
O 0.235 0.235 0.902
O 0.451 0.451 0.402
O 0.468 0.468 0.111
O 0.548 0.548 0.896
O 0.573 0.573 0.608
O 0.777 0.777 0.384
O 0.786 0.786 0.098
O 0.893 0.893 0.600
O 0.902 0.902 0.888



What is the formula in the fifth record? Ni3W3C